This entry pairs a crystal structure of Li2Ag7 with its calculated X-ray powder pattern. Radiation: Cu Kα X-rays. Structure: DFT lattice parameters and positions (GGA-PBE).
No peak broadening, texture or thermal motion is included.

Cell and atoms:
```
9
Lattice="7.8440 0.0000 0.0000 -3.9220 6.7931 0.0000 0.0000 0.0000 2.9088" Properties=species:S:1:pos:R:3 pbc="T T T"
Li 0.0000 4.5287 0.0000
Li 3.9220 2.2644 0.0000
Ag 0.0000 0.0000 1.4544
Ag -1.4236 2.4658 1.4544
Ag -2.6813 4.6442 0.0000
Ag 1.2406 2.1489 0.0000
Ag 2.8473 0.0000 1.4544
Ag 2.4983 4.3272 1.4544
Ag 5.3627 0.0000 0.0000
```

Main lines, sorted by position (2θ = 10–90°):
13.03 deg, I 19
22.67 deg, I 26
34.95 deg, I 11
38.53 deg, I 100
39.81 deg, I 76
40.85 deg, I 14
56.60 deg, I 27
68.28 deg, I 10
71.42 deg, I 23
78.10 deg, I 20

=====

This entry pairs a crystal structure of LiLu2Ag with its calculated X-ray powder pattern. Radiation: Cu Kα X-rays. Structure: DFT lattice parameters and positions (GGA-PBE).
No peak broadening, texture or thermal motion is included.

Cell and atoms:
```
4
Lattice="0.0000 3.5710 3.5710 3.5710 0.0000 3.5710 3.5710 3.5710 0.0000" Properties=species:S:1:pos:R:3 pbc="T T T"
Li 0.0000 0.0000 0.0000
Lu 1.7855 1.7855 1.7855
Lu 5.3565 5.3565 5.3565
Ag 3.5710 3.5710 3.5710
```

Main lines, sorted by position (2θ = 10–90°):
21.55 deg, I 13
24.93 deg, I 30
35.55 deg, I 100
41.95 deg, I 7
43.92 deg, I 9
51.16 deg, I 18
57.73 deg, I 13
63.85 deg, I 36
75.27 deg, I 11
86.11 deg, I 16

=====

This entry pairs a crystal structure of LiSmLuAg with its calculated X-ray powder pattern. Radiation: Cu Kα X-rays. Structure: DFT lattice parameters and positions (GGA-PBE).
No peak broadening, texture or thermal motion is included.

Cell and atoms:
```
4
Lattice="0.0000 3.6521 3.6521 3.6521 0.0000 3.6521 3.6521 3.6521 0.0000" Properties=species:S:1:pos:R:3 pbc="T T T"
Li 0.0000 0.0000 0.0000
Sm 1.8261 1.8261 1.8261
Lu 5.4782 5.4782 5.4782
Ag 3.6521 3.6521 3.6521
```

Main lines, sorted by position (2θ = 10–90°):
21.07 deg, I 15
24.37 deg, I 27
34.74 deg, I 100
40.98 deg, I 8
42.89 deg, I 8
49.94 deg, I 18
56.33 deg, I 11
62.27 deg, I 36
73.32 deg, I 11
83.75 deg, I 16

=====

This entry pairs a crystal structure of LiTbLuAg with its calculated X-ray powder pattern. Radiation: Cu Kα X-rays. Structure: DFT lattice parameters and positions (GGA-PBE).
No peak broadening, texture or thermal motion is included.

Cell and atoms:
```
4
Lattice="0.0000 3.6182 3.6182 3.6182 0.0000 3.6182 3.6182 3.6182 0.0000" Properties=species:S:1:pos:R:3 pbc="T T T"
Li 0.0000 0.0000 0.0000
Tb 5.4273 5.4273 5.4273
Lu 1.8091 1.8091 1.8091
Ag 3.6182 3.6182 3.6182
```

Main lines, sorted by position (2θ = 10–90°):
21.27 deg, I 14
24.60 deg, I 28
35.07 deg, I 100
41.38 deg, I 7
43.31 deg, I 8
50.44 deg, I 18
56.90 deg, I 12
62.92 deg, I 36
74.12 deg, I 11
84.72 deg, I 16